# 1
Ce2ErRh3: simulated powder diffraction line list (CuKα), based on a PBE-relaxed structure.
Peak positions follow from Bragg's law for the DFT cell and can differ from measured ones.

Main lines, low angle first (10° ≤ 2θ ≤ 80°):
Position (°2θ)	I (rel.)	h k l
31.4	42	0 2 0
32.0	100	2 0 2
35.4	11	2 2 -1
45.5	78	6 0 0
46.2	18	2 0 -4
56.4	16	6 2 0
57.0	15	2 2 -4
66.9	12	8 0 -4
74.8	6	2 4 2
75.6	8	10 0 -2
75.8	6	8 2 -4
75.8	6	4 2 4

Crystal structure
```
data_Ce2ErRh3
_chemical_formula_sum 'Ce8 Er4 Rh12'
_space_group_name_H-M_alt 'C 1 2/c 1'
_space_group_IT_number 15
_cell_length_a 12.5841
_cell_length_b 5.6935
_cell_length_c 7.8535
_cell_angle_alpha 90.00
_cell_angle_beta 108.23
_cell_angle_gamma 90.00
loop_
_space_group_symop_operation_xyz
'x,y,z'
'-x,-y,-z'
'-x,y,-z+1/2'
'x,-y,z+1/2'
'x+1/2,y+1/2,z'
'-x+1/2,-y+1/2,-z'
'-x+1/2,y+1/2,-z+1/2'
'x+1/2,-y+1/2,z+1/2'
loop_
_atom_site_label
_atom_site_type_symbol
_atom_site_fract_x
_atom_site_fract_y
_atom_site_fract_z
Ce1 Ce 0.1673 0.0153 0.0820
Er1 Er 0.0000 0.4401 0.2500
Rh1 Rh 0.0000 0.0616 0.7500
Rh2 Rh 0.1681 0.4832 0.5876
```

=====

# 2
Pm2Dy3Sn2: simulated powder diffraction line list (CuKα), based on a PBE-relaxed structure.
Peak positions follow from Bragg's law for the DFT cell and can differ from measured ones.

Main lines, low angle first (10° ≤ 2θ ≤ 80°):
Position (°2θ)	I (rel.)	h k l
25.6	24	4 0 -2
27.6	30	1 1 -1
29.9	37	1 1 1
31.2	85	4 0 1
33.4	40	6 0 -2
33.7	39	2 0 -3
34.2	100	1 1 -2
37.1	81	5 1 -1
51.9	23	0 2 0
55.5	20	3 1 3
56.6	31	7 1 -4
61.8	25	4 2 1

Crystal structure
```
data_Pm2Dy3Sn2
_chemical_formula_sum 'Pm4 Dy6 Sn4'
_space_group_name_H-M_alt 'C 1 2/m 1'
_space_group_IT_number 12
_cell_length_a 16.7199
_cell_length_b 3.5241
_cell_length_c 8.0441
_cell_angle_alpha 90.00
_cell_angle_beta 115.91
_cell_angle_gamma 90.00
loop_
_space_group_symop_operation_xyz
'x,y,z'
'-x,-y,-z'
'-x,y,-z'
'x,-y,z'
'x+1/2,y+1/2,z'
'-x+1/2,-y+1/2,-z'
'-x+1/2,y+1/2,-z'
'x+1/2,-y+1/2,z'
loop_
_atom_site_label
_atom_site_type_symbol
_atom_site_fract_x
_atom_site_fract_y
_atom_site_fract_z
Pm1 Pm 0.1188 0.0000 0.4747
Dy1 Dy 0.0000 0.0000 0.0000
Dy2 Dy 0.2127 0.0000 0.1414
Sn1 Sn 0.0793 0.5000 0.7746
```